Record 1
This entry pairs a crystal structure of ErGa7Co5 with its calculated powder diffraction line list. Radiation: λ = 1.5418 Å (Cu Kα). Structure: a crystal structure in Alexandria, relaxed with PBE.
Lines closer than 0.1° are merged.

Main lines, in order of falling intensity (10° ≤ 2θ ≤ 80°):
- (0 4 0), 42.35 deg, I = 100
- (1 2 3), 42.56 deg, I = 50
- (1 3 0), 36.20 deg, I = 45
- (2 2 2), 46.88 deg, I = 43
- (2 2 0), 41.31 deg, I = 41
- (2 0 2), 41.51 deg, I = 39
- (0 0 4), 43.16 deg, I = 34
- (2 0 0), 35.26 deg, I = 30
- (1 0 3), 36.68 deg, I = 29
- (2 6 0), 76.82 deg, I = 18

Cell and atoms:
Lattice parameters (Å, degrees): 5.0907 8.5266 8.3842 90.00 90.00 90.00
Space group Imm2 (No. 44)
One atom of each set of equivalent atoms:
Er (0.0000, 0.0000, 0.0000) [2 per cell]
Ga (0.0000, 0.0000, 0.3465) [2 per cell]
Ga (0.0000, 0.0000, 0.6671) [2 per cell]
Ga (0.0000, 0.3008, 0.4912) [4 per cell]
Ga (0.0000, 0.3401, 0.0257) [4 per cell]
Ga (0.0000, 0.5000, 0.7377) [2 per cell]
Co (0.0000, 0.5000, 0.2736) [2 per cell]
Co (0.2393, 0.2568, 0.7553) [8 per cell]

***

Record 2
This entry pairs a crystal structure of Er3Ga7Co2 with its calculated powder diffraction line list. Radiation: λ = 1.5418 Å (Cu Kα). Structure: a crystal structure in Alexandria, relaxed with PBE.
Lines closer than 0.1° are merged.

Main lines, in order of falling intensity (10° ≤ 2θ ≤ 80°):
- (1 1 6), 37.55 deg, I = 100
- (2 0 0), 46.37 deg, I = 49
- (1 1 0), 32.33 deg, I = 31
- (1 0 11), 41.65 deg, I = 29
- (0 0 12), 37.69 deg, I = 22
- (2 0 12), 61.22 deg, I = 21
- (1 0 9), 36.38 deg, I = 20
- (1 1 18), 67.94 deg, I = 19
- (2 1 11), 64.07 deg, I = 16
- (2 2 0), 67.66 deg, I = 15

Cell and atoms:
Lattice parameters (Å, degrees): 3.9165 3.9165 28.6412 90.00 90.00 90.00
Space group I4/mmm (No. 139)
One atom of each set of equivalent atoms:
Er (0.0000, 0.0000, 0.0000) [2 per cell]
Er (0.0000, 0.0000, 0.1668) [4 per cell]
Ga (0.0000, 0.0000, 0.2740) [4 per cell]
Ga (0.0000, 0.0000, 0.5000) [2 per cell]
Ga (0.0000, 0.5000, 0.0832) [8 per cell]
Co (0.0000, 0.0000, 0.3584) [4 per cell]

***

Record 3
This entry pairs a crystal structure of Er2Ga6Co9 with its calculated powder diffraction line list. Radiation: λ = 1.5418 Å (Cu Kα). Structure: a crystal structure in Alexandria, relaxed with PBE.
Lines closer than 0.1° are merged.

Main lines, in order of falling intensity (10° ≤ 2θ ≤ 80°):
- (1 1 3), 42.43 deg, I = 100
- (1 1 0), 35.25 deg, I = 31
- (2 0 0), 40.92 deg, I = 27
- (1 0 3), 30.65 deg, I = 25
- (0 0 6), 46.72 deg, I = 24
- (3 0 3), 68.19 deg, I = 23
- (2 0 3), 47.39 deg, I = 18
- (2 2 0), 74.53 deg, I = 17
- (1 0 1), 21.54 deg, I = 17
- (2 0 6), 63.82 deg, I = 15

Cell and atoms:
Lattice parameters (Å, degrees): 5.0929 5.0929 11.6658 90.00 90.00 120.00
Space group P6/mmm (No. 191)
One atom of each set of equivalent atoms:
Er (0.0000, 0.0000, 0.1657) [2 per cell]
Ga (0.3333, 0.6667, 0.1634) [4 per cell]
Ga (0.3333, 0.6667, 0.5000) [2 per cell]
Co (0.0000, 0.5000, 0.0000) [3 per cell]
Co (0.0000, 0.5000, 0.3300) [6 per cell]

***

Record 4
This entry pairs a crystal structure of Er2Ga3Co2 with its calculated powder diffraction line list. Radiation: λ = 1.5418 Å (Cu Kα). Structure: a crystal structure in Alexandria, relaxed with PBE.
Lines closer than 0.1° are merged.

Main lines, in order of falling intensity (10° ≤ 2θ ≤ 80°):
- (3 1 -2), 39.23 deg, I = 100
- (1 1 -2), 34.66 deg, I = 94
- (1 1 2), 41.45 deg, I = 88
- (3 1 -1), 35.63 deg, I = 83
- (1 1 1), 30.61 deg, I = 80
- (0 2 0), 45.57 deg, I = 75
- (3 1 0), 37.91 deg, I = 67
- (2 0 -3), 39.62 deg, I = 55
- (4 0 0), 40.70 deg, I = 52
- (4 0 -2), 38.71 deg, I = 44

Cell and atoms:
Lattice parameters (Å, degrees): 9.7807 3.9813 6.8325 90.00 114.94 90.00
Space group C2/m (No. 12)
One atom of each set of equivalent atoms:
Er (0.1452, 0.0000, 0.2754) [4 per cell]
Ga (0.0000, 0.5000, 0.5000) [2 per cell]
Ga (0.1392, 0.5000, 0.9461) [4 per cell]
Co (0.1310, 0.0000, 0.6979) [4 per cell]

***

Record 5
This entry pairs a crystal structure of Er2Ga5Co4 with its calculated powder diffraction line list. Radiation: λ = 1.5418 Å (Cu Kα). Structure: a crystal structure in Alexandria, relaxed with PBE.
Lines closer than 0.1° are merged.

Main lines, in order of falling intensity (10° ≤ 2θ ≤ 80°):
- (1 3 3), 38.71 deg, I = 100
- (2 0 4), 42.31 deg, I = 67
- (1 1 3), 26.63 deg, I = 66
- (2 2 0), 39.81 deg, I = 54
- (0 2 4), 30.94 deg, I = 47
- (1 3 1), 34.61 deg, I = 36
- (3 3 3), 64.51 deg, I = 25
- (0 0 8), 48.85 deg, I = 21
- (1 3 7), 55.49 deg, I = 21
- (2 6 0), 71.72 deg, I = 20

Cell and atoms:
Lattice parameters (Å, degrees): 5.2120 9.1480 14.9149 90.00 90.00 90.00
Space group Fmmm (No. 69)
One atom of each set of equivalent atoms:
Er (0.0000, 0.0000, 0.1487) [8 per cell]
Ga (0.0000, 0.0000, 0.5000) [4 per cell]
Ga (0.2500, 0.2500, 0.0000) [8 per cell]
Ga (0.2500, 0.2500, 0.2500) [8 per cell]
Co (0.0000, 0.1547, 0.3722) [16 per cell]

***

Record 6
This entry pairs a crystal structure of Er3Ga8Co3 with its calculated powder diffraction line list. Radiation: λ = 1.5418 Å (Cu Kα). Structure: a crystal structure in Alexandria, relaxed with PBE.
Lines closer than 0.1° are merged.

Main lines, in order of falling intensity (10° ≤ 2θ ≤ 80°):
- (1 2 3), 36.43 deg, I = 100
- (1 3 0), 35.51 deg, I = 55
- (2 0 0), 44.07 deg, I = 38
- (1 0 3), 31.14 deg, I = 38
- (0 3 3), 35.84 deg, I = 34
- (2 3 3), 58.05 deg, I = 17
- (0 0 6), 45.15 deg, I = 17
- (3 2 3), 76.00 deg, I = 15
- (1 3 4), 46.92 deg, I = 15
- (0 1 3), 24.01 deg, I = 15

Cell and atoms:
Lattice parameters (Å, degrees): 4.1101 9.6190 12.0482 90.00 90.00 90.00
Space group Immm (No. 71)
One atom of each set of equivalent atoms:
Er (0.0000, 0.0000, 0.0000) [2 per cell]
Er (0.0000, 0.0000, 0.3296) [4 per cell]
Ga (0.0000, 0.2893, 0.1164) [8 per cell]
Ga (0.0000, 0.3657, 0.3357) [8 per cell]
Co (0.0000, 0.2136, 0.5000) [4 per cell]
Co (0.0000, 0.5000, 0.0000) [2 per cell]

***

Record 7
This entry pairs a crystal structure of Er2Ga4Co3Ni with its calculated powder diffraction line list. Radiation: λ = 1.5418 Å (Cu Kα). Structure: a crystal structure in Alexandria, relaxed with PBE.
Lines closer than 0.1° are merged.

Main lines, in order of falling intensity (10° ≤ 2θ ≤ 80°):
- (1 1 2), 36.47 deg, I = 100
- (1 0 3), 35.09 deg, I = 69
- (2 0 0), 45.23 deg, I = 52
- (2 1 3), 58.50 deg, I = 31
- (1 0 5), 51.20 deg, I = 29
- (2 1 5), 70.68 deg, I = 22
- (3 1 2), 77.73 deg, I = 21
- (1 1 0), 31.56 deg, I = 20
- (2 2 0), 65.89 deg, I = 16
- (1 1 6), 65.11 deg, I = 13

Cell and atoms:
Lattice parameters (Å, degrees): 4.0092 4.0092 9.9612 90.00 90.00 90.00
Space group P-4m2 (No. 115)
One atom of each set of equivalent atoms:
Er (0.0000, 0.5000, 0.2468) [2 per cell]
Ga (0.0000, 0.0000, 0.5000) [1 per cell]
Ga (0.0000, 0.5000, 0.8716) [2 per cell]
Ga (0.5000, 0.5000, 0.5000) [1 per cell]
Co (0.0000, 0.0000, 0.0000) [1 per cell]
Co (0.0000, 0.5000, 0.6363) [2 per cell]
Ni (0.5000, 0.5000, 0.0000) [1 per cell]

***

Record 8
This entry pairs a crystal structure of Er2ZnGa2Co5 with its calculated powder diffraction line list. Radiation: λ = 1.5418 Å (Cu Kα). Structure: a crystal structure in Alexandria, relaxed with PBE.
Lines closer than 0.1° are merged.

Main lines, in order of falling intensity (10° ≤ 2θ ≤ 80°):
- (3 1 1), 40.49 deg, I = 100
- (4 1 0), 39.70 deg, I = 54
- (2 1 1), 34.06 deg, I = 31
- (3 3 0), 40.91 deg, I = 28
- (4 1 2), 69.26 deg, I = 27
- (3 2 1), 43.96 deg, I = 27
- (3 3 2), 70.10 deg, I = 23
- (2 2 1), 38.03 deg, I = 21
- (0 0 2), 54.20 deg, I = 20
- (4 0 1), 47.22 deg, I = 14

Cell and atoms:
Lattice parameters (Å, degrees): 9.3601 9.3601 3.3846 90.00 90.00 90.00
Space group P4/mbm (No. 127)
One atom of each set of equivalent atoms:
Er (0.1735, 0.3265, 0.0000) [4 per cell]
Zn (0.0000, 0.0000, 0.0000) [2 per cell]
Ga (0.1242, 0.6242, 0.0000) [4 per cell]
Co (0.0000, 0.5000, 0.5000) [2 per cell]
Co (0.0609, 0.8009, 0.5000) [8 per cell]

***

Record 9
This entry pairs a crystal structure of ErCo4Ge with its calculated powder diffraction line list. Radiation: λ = 1.5418 Å (Cu Kα). Structure: a crystal structure in Alexandria, relaxed with PBE.
Lines closer than 0.1° are merged.

Main lines, in order of falling intensity (10° ≤ 2θ ≤ 80°):
- (3 1 1), 43.42 deg, I = 100
- (2 2 0), 36.77 deg, I = 51
- (5 1 1), 70.83 deg, I = 30
- (2 2 2), 45.45 deg, I = 22
- (4 4 0), 78.23 deg, I = 22
- (4 2 2), 66.23 deg, I = 18
- (1 1 1), 22.27 deg, I = 12
- (2 0 0), 25.78 deg, I = 9
- (4 2 0), 59.83 deg, I = 3
- (3 3 1), 58.17 deg, I = 3

Cell and atoms:
Lattice parameters (Å, degrees): 6.9127 6.9127 6.9127 90.00 90.00 90.00
Space group F-43m (No. 216)
One atom of each set of equivalent atoms:
Er (0.0000, 0.0000, 0.0000) [4 per cell]
Co (0.1242, 0.1242, 0.6242) [16 per cell]
Ge (0.2500, 0.2500, 0.2500) [4 per cell]

***

Record 10
This entry pairs a crystal structure of Er4CoGe8 with its calculated powder diffraction line list. Radiation: λ = 1.5418 Å (Cu Kα). Structure: a crystal structure in Alexandria, relaxed with PBE.
Lines closer than 0.1° are merged.

Main lines, in order of falling intensity (10° ≤ 2θ ≤ 80°):
- (1 1 3), 35.77 deg, I = 100
- (0 2 0), 44.43 deg, I = 16
- (2 0 0), 45.50 deg, I = 14
- (1 0 2), 24.99 deg, I = 14
- (1 0 6), 40.90 deg, I = 13
- (0 0 6), 33.83 deg, I = 13
- (1 3 3), 76.14 deg, I = 11
- (2 2 0), 65.48 deg, I = 10
- (3 1 3), 77.69 deg, I = 9
- (2 1 9), 75.63 deg, I = 8

Cell and atoms:
Lattice parameters (Å, degrees): 3.9871 4.0783 15.8961 90.00 90.00 90.00
Space group Pmm2 (No. 25)
One atom of each set of equivalent atoms:
Er (0.0000, 0.0000, 0.0000) [1 per cell]
Er (0.0000, 0.5000, 0.4967) [1 per cell]
Er (0.5000, 0.0000, 0.7900) [1 per cell]
Er (0.5000, 0.5000, 0.2907) [1 per cell]
Co (0.0000, 0.5000, 0.7055) [1 per cell]
Ge (0.0000, 0.0000, 0.3386) [1 per cell]
Ge (0.0000, 0.0000, 0.6336) [1 per cell]
Ge (0.0000, 0.5000, 0.1436) [1 per cell]
Ge (0.0000, 0.5000, 0.8500) [1 per cell]
Ge (0.5000, 0.0000, 0.1473) [1 per cell]
Ge (0.5000, 0.0000, 0.4462) [1 per cell]
Ge (0.5000, 0.5000, 0.6335) [1 per cell]
Ge (0.5000, 0.5000, 0.9542) [1 per cell]

***

Record 11
This entry pairs a crystal structure of Er2CoGe6 with its calculated powder diffraction line list. Radiation: λ = 1.5418 Å (Cu Kα). Structure: a crystal structure in Alexandria, relaxed with PBE.
Lines closer than 0.1° are merged.

Main lines, in order of falling intensity (10° ≤ 2θ ≤ 80°):
- (1 1 3), 34.06 deg, I = 100
- (0 0 8), 33.43 deg, I = 40
- (1 1 5), 38.09 deg, I = 25
- (2 0 0), 44.63 deg, I = 24
- (0 2 0), 45.93 deg, I = 22
- (0 1 9), 44.43 deg, I = 17
- (3 1 3), 75.45 deg, I = 16
- (0 2 8), 57.99 deg, I = 16
- (2 2 0), 65.98 deg, I = 14
- (0 1 3), 25.77 deg, I = 12

Cell and atoms:
Lattice parameters (Å, degrees): 4.0604 3.9514 21.4264 90.00 90.00 90.00
Space group Amm2 (No. 38)
One atom of each set of equivalent atoms:
Er (0.0000, 0.0000, 0.0000) [2 per cell]
Er (0.0000, 0.0000, 0.3377) [2 per cell]
Co (0.5000, 0.0000, 0.7788) [2 per cell]
Ge (0.0000, 0.0000, 0.6058) [2 per cell]
Ge (0.0000, 0.0000, 0.7235) [2 per cell]
Ge (0.5000, 0.0000, 0.1033) [2 per cell]
Ge (0.5000, 0.0000, 0.2215) [2 per cell]
Ge (0.5000, 0.0000, 0.4612) [2 per cell]
Ge (0.5000, 0.0000, 0.8854) [2 per cell]

***

Record 12
This entry pairs a crystal structure of ErCo2GeN with its calculated powder diffraction line list. Radiation: λ = 1.5418 Å (Cu Kα). Structure: a crystal structure in Alexandria, relaxed with PBE.
Lines closer than 0.1° are merged.

Main lines, in order of falling intensity (10° ≤ 2θ ≤ 80°):
- (1 1 2), 37.55 deg, I = 100
- (1 3 1), 37.70 deg, I = 60
- (1 3 0), 35.25 deg, I = 50
- (0 4 1), 34.98 deg, I = 40
- (0 4 2), 41.99 deg, I = 32
- (2 0 0), 51.97 deg, I = 27
- (1 7 1), 66.24 deg, I = 21
- (0 0 2), 26.03 deg, I = 18
- (1 3 3), 53.96 deg, I = 17
- (1 1 0), 26.58 deg, I = 16

Cell and atoms:
Lattice parameters (Å, degrees): 3.5186 11.0650 6.8463 90.00 90.00 90.00
Space group Cmcm (No. 63)
One atom of each set of equivalent atoms:
Er (0.0000, 0.0368, 0.2500) [4 per cell]
Co (0.0000, 0.3405, 0.0504) [8 per cell]
Ge (0.0000, 0.2344, 0.7500) [4 per cell]
N (0.0000, 0.5000, 0.0000) [4 per cell]